Diffraction record for BeF2. The PXRD pattern is computed, not measured: it uses a PBE-relaxed structure and Cu Kα, 1.54184 Å.

Cell and atoms:
```
data_BeF2
_cell_length_a 13.1721
_cell_length_b 13.1721
_cell_length_c 14.4820
_cell_angle_alpha 90.00
_cell_angle_beta 90.00
_cell_angle_gamma 120.00
_symmetry_space_group_name_H-M 'R -3 m'
_symmetry_Int_Tables_number 166
_symmetry_space_group_name_Hall '-R 3 2"'
loop_
_atom_site_label
_atom_site_fract_x
_atom_site_fract_y
_atom_site_fract_z
Be1 0.0001 0.2299 0.1032
F1 0.0000 0.2651 0.0000
F2 0.0000 0.3529 0.5000
F3 0.0942 0.5471 0.7940
F4 0.1002 0.2004 0.8818
```

Principal peaks in the range 10 to 90 degrees two-theta, by angle:
(1 1 0), 2θ = 13.44°, d 6.586, rel. 100
(0 1 2), 2θ = 14.49°, d 6.113, rel. 11
(0 2 1), 2θ = 16.71°, d 5.307, rel. 33
(0 0 3), 2θ = 18.38°, d 4.827, rel. 40
(2 1 1), 2θ = 21.50°, d 4.132, rel. 72
(1 0 4), 2θ = 25.82°, d 3.451, rel. 26
(2 2 0), 2θ = 27.08°, d 3.293, rel. 18
(4 0 1), 2θ = 31.99°, d 2.798, rel. 21
(2 1 4), 2θ = 32.29°, d 2.773, rel. 11
(3 3 0), 2θ = 41.12°, d 2.195, rel. 24
(3 0 6), 2θ = 44.47°, d 2.037, rel. 20
(3 3 3), 2θ = 45.38°, d 1.998, rel. 28

=====

Diffraction record for LiBeH4NF4. The PXRD pattern is computed, not measured: it uses a PBE-relaxed structure and Cu Kα, 1.54184 Å.

Cell and atoms:
```
data_LiBeH4NF4
_cell_length_a 9.572
_cell_length_b 5.086
_cell_length_c 9.077
_cell_angle_alpha 90.00
_cell_angle_beta 90.00
_cell_angle_gamma 90.00
_symmetry_space_group_name_H-M 'P c a 21'
_symmetry_Int_Tables_number 29
loop_
_symmetry_equiv_pos_as_xyz
'x,y,z'
'-x,-y,z+1/2'
'-x+1/2,y,z+1/2'
'x+1/2,-y,z'
loop_
_atom_site_label
_atom_site_fract_x
_atom_site_fract_y
_atom_site_fract_z
Li1 0.108 0.047 0.000
Be1 0.100 0.056 0.364
H1 0.149 0.574 0.767
H2 0.164 0.600 0.582
H3 0.195 0.634 0.193
H4 0.232 0.333 0.669
N1 0.213 0.531 0.678
F1 0.035 0.770 0.884
F2 0.068 0.796 0.452
F3 0.122 0.988 0.198
F4 0.232 0.194 0.426
```

Principal peaks in the range 10 to 90 degrees two-theta, by angle:
(0 1 0), 2θ = 17.44°, d 5.086, rel. 55
(0 0 2), 2θ = 19.56°, d 4.538, rel. 43
(2 0 1), 2θ = 20.98°, d 4.233, rel. 36
(2 1 0), 2θ = 25.56°, d 3.486, rel. 19
(0 1 2), 2θ = 26.32°, d 3.386, rel. 22
(2 0 2), 2θ = 27.08°, d 3.293, rel. 35
(2 1 1), 2θ = 27.41°, d 3.254, rel. 100
(3 1 0), 2θ = 33.14°, d 2.703, rel. 56
(1 1 3), 2θ = 35.78°, d 2.509, rel. 29
(3 1 2), 2θ = 38.78°, d 2.322, rel. 63
(0 0 4), 2θ = 39.72°, d 2.269, rel. 44
(0 2 2), 2θ = 40.67°, d 2.219, rel. 76

=====

Diffraction record for LiBeH5N2F4. The PXRD pattern is computed, not measured: it uses a PBE-relaxed structure and Cu Kα, 1.54184 Å.

Cell and atoms:
```
data_LiBeH5N2F4
_cell_length_a 9.926
_cell_length_b 8.957
_cell_length_c 5.169
_cell_angle_alpha 90.00
_cell_angle_beta 90.00
_cell_angle_gamma 90.00
_symmetry_space_group_name_H-M 'P n a 21'
_symmetry_Int_Tables_number 33
loop_
_symmetry_equiv_pos_as_xyz
'x,y,z'
'-x,-y,z+1/2'
'-x+1/2,y+1/2,z+1/2'
'x+1/2,-y+1/2,z'
loop_
_atom_site_label
_atom_site_fract_x
_atom_site_fract_y
_atom_site_fract_z
Li1 0.179 0.065 0.000
Be1 0.159 0.872 0.495
H1 0.019 0.543 0.807
H2 0.027 0.202 0.346
H3 0.053 0.227 0.667
H4 0.118 0.618 0.031
H5 0.158 0.306 0.446
N1 0.021 0.587 0.992
N2 0.058 0.278 0.486
F1 0.000 0.144 0.973
F2 0.196 0.892 0.791
F3 0.203 0.015 0.346
F4 0.225 0.729 0.382
```

Principal peaks in the range 10 to 90 degrees two-theta, by angle:
(1 1 0), 2θ = 13.31°, d 6.650, rel. 20
(1 2 0), 2θ = 21.77°, d 4.082, rel. 13
(2 1 1), 2θ = 26.82°, d 3.324, rel. 26
(1 2 1), 2θ = 27.85°, d 3.204, rel. 100
(3 1 0), 2θ = 28.77°, d 3.104, rel. 37
(0 0 2), 2θ = 34.71°, d 2.585, rel. 59
(1 3 1), 2θ = 35.89°, d 2.502, rel. 32
(4 0 0), 2θ = 36.20°, d 2.481, rel. 23
(4 1 0), 2θ = 37.61°, d 2.391, rel. 15
(3 2 1), 2θ = 38.03°, d 2.366, rel. 33
(2 0 2), 2θ = 39.30°, d 2.292, rel. 66
(2 5 1), 2θ = 57.54°, d 1.602, rel. 19